The following is a theoretical PXRD pattern of Ga5Sn4Pb. It was derived from a DFT-relaxed cell (PBE, Alexandria), using Cu Kα, 1.54184 Å.
Lines closer than 0.1° are merged.

The 12 most intense peaks (5 to 70 degrees two-theta), by intensity:
2θ 33.7, intensity 1000, hkl 1 1 0
2θ 36.7, intensity 767, hkl 1 0 -5
2θ 33.5, intensity 490, hkl 0 1 5
2θ 36.6, intensity 385, hkl 0 1 -5
2θ 58.0, intensity 221, hkl -1 2 5
2θ 45.8, intensity 218, hkl 0 2 0
2θ 62.1, intensity 176, hkl 1 2 -5
2θ 62.2, intensity 167, hkl -2 1 5
2θ 50.8, intensity 158, hkl 2 0 0
2θ 64.2, intensity 150, hkl 2 1 -5
2θ 64.0, intensity 140, hkl -1 1 10
2θ 22.4, intensity 123, hkl 0 1 0

```
data_Ga5Sn4Pb
_cell_length_a 3.5963
_cell_length_b 3.9777
_cell_length_c 16.7852
_cell_angle_alpha 85.06
_cell_angle_beta 89.99
_cell_angle_gamma 89.99
_space_group_name_H-M_alt 'P -1'
_space_group_IT_number 2
loop_
_space_group_symop_operation_xyz
'x,y,z'
'-x,-y,-z'
loop_
_atom_site_label
_atom_site_type_symbol
_atom_site_fract_x
_atom_site_fract_y
_atom_site_fract_z
Ga1 Ga 0.0000 0.0000 0.0000
Ga2 Ga 0.0006 0.9975 0.6136
Ga3 Ga 0.0018 0.9967 0.8038
Sn1 Sn 0.4984 0.5000 0.0993
Sn2 Sn 0.4984 0.5079 0.2942
Pb1 Pb 0.5000 0.5000 0.5000
```